For YCoSi2, the GGA-PBE geometry in Alexandria gives the calculated powder X-ray diffraction pattern in this record (CuKα).
Lines closer than 0.1° are merged.

The 6 most intense peaks (2θ = 5–70°), low angle first:
two_theta	I (rel.)
32.07	85.8
35.47	79.4
35.77	100.0
40.24	45.2
44.99	42.5
45.55	40.6

Cell and atoms:
a b c (Å): 4.0295 16.2648 3.9826
angles (deg): 90.00 90.00 90.00
Sites, in units of the cell vectors:
Y 0.0000 0.1079 0.2500
Y 0.0000 0.8921 0.7500
Y 0.5000 0.3921 0.7500
Y 0.5000 0.6079 0.2500
Co 0.0000 0.3206 0.2500
Co 0.0000 0.6794 0.7500
Co 0.5000 0.1794 0.7500
Co 0.5000 0.8206 0.2500
Si 0.0000 0.2496 0.7500
Si 0.0000 0.4573 0.2500
Si 0.0000 0.5427 0.7500
Si 0.0000 0.7504 0.2500
Si 0.5000 0.0427 0.7500
Si 0.5000 0.2504 0.2500
Si 0.5000 0.7496 0.7500
Si 0.5000 0.9573 0.2500